No. 1
For PrIn2Ni9, a structure optimized by DFT (PBE) gives the simulated X-ray powder pattern in this record (Cu Kα).
Peak positions follow from Bragg's law for the DFT cell and can differ from measured ones.

Top 10 peaks for 2θ from 10° to 90°, low angle first:
(hkl)	d [Å]	Position (°2θ)	I_rel
3 1 0	2.618	34.2	25
2 2 1	2.507	35.8	22
0 0 2	2.428	37.0	18
3 1 1	2.305	39.1	100
2 0 2	2.095	43.2	28
3 2 1	2.076	43.6	41
2 1 2	2.031	44.6	75
4 1 0	2.008	45.1	33
3 1 3	1.377	68.1	18
5 1 2	1.350	69.7	16

Cell and atoms:
Unit cell a=8.280 b=8.280 c=4.857 alpha=90.00 beta=90.00 gamma=90.00
Fractional coordinates of all 24 atoms:
Pr  0.000  0.000  0.000
Pr  0.500  0.500  0.000
In  0.124  0.376  0.000
In  0.376  0.876  0.000
In  0.624  0.124  0.000
In  0.876  0.624  0.000
Ni  0.000  0.500  0.500
Ni  0.065  0.209  0.500
Ni  0.176  0.676  0.249
Ni  0.176  0.676  0.751
Ni  0.209  0.935  0.500
Ni  0.291  0.435  0.500
Ni  0.324  0.176  0.249
Ni  0.324  0.176  0.751
Ni  0.435  0.709  0.500
Ni  0.500  0.000  0.500
Ni  0.565  0.291  0.500
Ni  0.676  0.824  0.249
Ni  0.676  0.824  0.751
Ni  0.709  0.565  0.500
Ni  0.791  0.065  0.500
Ni  0.824  0.324  0.249
Ni  0.824  0.324  0.751
Ni  0.935  0.791  0.500



No. 2
For Lu4B3Au, a structure optimized by DFT (PBE) gives the simulated X-ray powder pattern in this record (Cu Kα).
Peak positions follow from Bragg's law for the DFT cell and can differ from measured ones.

Top 10 peaks for 2θ from 10° to 90°, low angle first:
(hkl)	d [Å]	Position (°2θ)	I_rel
1 0 1	3.047	29.3	38
1 0 2	2.993	29.8	23
1 0 4	2.806	31.9	24
0 0 10	2.790	32.1	22
1 0 5	2.686	33.4	83
1 0 6	2.559	35.1	100
1 0 11	1.954	46.5	26
1 1 0	1.769	51.7	46
1 1 10	1.494	62.1	20
2 0 6	1.455	64.0	18

Cell and atoms:
Unit cell a=3.539 b=3.539 c=27.900 alpha=90.00 beta=90.00 gamma=120.00
Fractional coordinates of all 16 atoms:
Lu  0.000  0.000  0.171
Lu  0.000  0.000  0.329
Lu  0.000  0.000  0.671
Lu  0.000  0.000  0.829
Lu  0.333  0.667  0.058
Lu  0.333  0.667  0.442
Lu  0.667  0.333  0.558
Lu  0.667  0.333  0.942
B  0.000  0.000  0.000
B  0.000  0.000  0.500
B  0.333  0.667  0.619
B  0.333  0.667  0.881
B  0.667  0.333  0.119
B  0.667  0.333  0.381
Au  0.333  0.667  0.250
Au  0.667  0.333  0.750